# 1
Structure and simulated powder X-ray diffraction pattern of LiCa2Ni3As4 (DFT lattice parameters and positions (GGA-PBE); λ = 1.5418 Å (Cu Kα)).

Main lines, in order of rising 2θ (15° ≤ 2θ ≤ 90°):
23.10°, d 3.849, I 52, hkl 1 0 1
34.89°, d 2.571, I 72, hkl 1 0 3
35.44°, d 2.533, I 100, hkl 1 1 2
43.20°, d 2.094, I 94, hkl 2 0 0
48.29°, d 1.885, I 67, hkl 1 1 4
51.60°, d 1.771, I 29, hkl 1 0 5
56.69°, d 1.624, I 33, hkl 2 1 3
62.75°, d 1.481, I 29, hkl 2 2 0
69.51°, d 1.352, I 23, hkl 2 1 5
82.92°, d 1.164, I 27, hkl 3 1 4

Lattice parameters (Å, degrees): 4.1880 4.1880 9.7738 90.00 90.00 90.00
Space group P-4m2 (No. 115)
Asymmetric unit:
Li  0.0000  0.0000  0.0000
Ca  0.0000  0.5000  0.7510
Ni  0.0000  0.5000  0.3802
Ni  0.5000  0.5000  0.0000
As  0.0000  0.0000  0.5000
As  0.0000  0.5000  0.1381
As  0.5000  0.5000  0.5000



# 2
Structure and simulated powder X-ray diffraction pattern of Li2CaAs2Pd2 (DFT lattice parameters and positions (GGA-PBE); λ = 1.5418 Å (Cu Kα)).

Main lines, in order of rising 2θ (15° ≤ 2θ ≤ 90°):
22.53°, d 3.947, I 81, hkl 0 0 6
24.42°, d 3.645, I 56, hkl 1 0 1
28.51°, d 3.131, I 43, hkl 1 0 4
30.72°, d 2.910, I 28, hkl 0 1 5
36.02°, d 2.493, I 70, hkl 1 0 7
42.45°, d 2.130, I 100, hkl 1 1 0
45.52°, d 1.993, I 22, hkl 1 0 10
48.58°, d 1.874, I 62, hkl 1 1 6
64.36°, d 1.447, I 23, hkl 1 1 12
68.29°, d 1.374, I 19, hkl 1 0 16

Lattice parameters (Å, degrees): 4.2593 4.2593 23.6800 90.00 90.00 120.00
Space group R-3m (No. 166, hexagonal axes)
Asymmetric unit:
Li  0.0000  0.0000  0.1424
Ca  0.0000  0.0000  0.0000
As  0.0000  0.0000  0.2522
Pd  0.0000  0.0000  0.4325